Entry 1:
The following is a calculated PXRD pattern of SmAs. It was derived from a structure optimized by DFT (GGA-PBE), using Cu Ka.

Most intense lines, 2θ from 10° to 90°, low angle first:
Position (°2θ), d [Å], I/Imax
25.31, 3.518, 48
34.91, 2.570, 100
44.61, 2.031, 32
55.37, 1.659, 11
57.86, 1.594, 23
67.90, 1.380, 18
75.88, 1.254, 21
81.45, 1.182, 9

Structural model:
Unit cell a=4.063 b=4.063 c=3.763 alpha=90.00 beta=90.00 gamma=120.00
Fractional positions:
Sm: 0.000 0.000 0.000
As: 0.333 0.667 0.500

***

Entry 2:
The following is a calculated PXRD pattern of SmAs. It was derived from a structure optimized by DFT (GGA-PBE), using Cu Ka.

Most intense lines, 2θ from 10° to 90°, low angle first:
Position (°2θ), d [Å], I/Imax
25.91, 3.438, 19
30.01, 2.978, 100
42.96, 2.106, 75
50.85, 1.796, 9
53.29, 1.719, 26
62.37, 1.489, 12
70.75, 1.332, 34
78.72, 1.216, 25

Structural model:
Unit cell a=5.955 b=5.955 c=5.955 alpha=90.00 beta=90.00 gamma=90.00
Fractional positions:
Sm: 0.000 0.000 0.000
Sm: 0.000 0.500 0.500
Sm: 0.500 0.000 0.500
Sm: 0.500 0.500 0.000
As: 0.000 0.000 0.500
As: 0.000 0.500 0.000
As: 0.500 0.000 0.000
As: 0.500 0.500 0.500

***

Entry 3:
The following is a calculated PXRD pattern of SmAs. It was derived from a structure optimized by DFT (GGA-PBE), using Cu Ka.

Most intense lines, 2θ from 10° to 90°, low angle first:
Position (°2θ), d [Å], I/Imax
25.93, 3.436, 19
30.03, 2.976, 100
42.97, 2.105, 62
53.26, 1.720, 13
53.37, 1.717, 13
70.77, 1.331, 28
78.69, 1.216, 13
78.84, 1.214, 13

Structural model:
Unit cell a=4.203 b=4.215 c=5.952 alpha=90.00 beta=90.00 gamma=90.00
Fractional positions:
Sm: 0.000 0.000 0.000
Sm: 0.500 0.500 0.500
As: 0.000 0.000 0.500
As: 0.500 0.500 0.000

***

Entry 4:
The following is a calculated PXRD pattern of Sm3Te2As. It was derived from a structure optimized by DFT (GGA-PBE), using Cu Ka.

Most intense lines, 2θ from 10° to 90°, low angle first:
Position (°2θ), d [Å], I/Imax
28.90, 3.089, 100
40.95, 2.204, 35
41.70, 2.166, 38
51.53, 1.773, 20
59.88, 1.545, 11
67.30, 1.391, 13
68.37, 1.372, 17
75.62, 1.258, 11

Structural model:
Unit cell a=4.332 b=4.332 c=10.893 alpha=90.00 beta=90.00 gamma=120.00
Fractional positions:
Sm: 0.000 0.000 0.000
Sm: 0.333 0.667 0.643
Sm: 0.667 0.333 0.357
Te: 0.333 0.667 0.174
Te: 0.667 0.333 0.826
As: 0.000 0.000 0.500

***

Entry 5:
The following is a calculated PXRD pattern of Sm2TmAs3. It was derived from a structure optimized by DFT (GGA-PBE), using Cu Ka.

Most intense lines, 2θ from 10° to 90°, low angle first:
Position (°2θ), d [Å], I/Imax
26.23, 3.397, 22
30.38, 2.942, 100
43.50, 2.080, 75
51.51, 1.774, 11
53.98, 1.699, 26
63.21, 1.471, 12
71.73, 1.316, 33
79.83, 1.201, 19

Structural model:
Unit cell a=4.163 b=4.163 c=10.183 alpha=90.00 beta=90.00 gamma=120.00
Fractional positions:
Sm: 0.333 0.667 0.329
Sm: 0.667 0.333 0.671
Tm: 0.000 0.000 0.000
As: 0.000 0.000 0.500
As: 0.333 0.667 0.842
As: 0.667 0.333 0.158

***

Entry 6:
The following is a calculated PXRD pattern of SmTmAs4. It was derived from a structure optimized by DFT (GGA-PBE), using Cu Ka.

Most intense lines, 2θ from 10° to 90°, low angle first:
Position (°2θ), d [Å], I/Imax
22.03, 4.035, 100
22.95, 3.875, 87
32.98, 2.716, 75
39.14, 2.302, 64
40.02, 2.253, 42
40.24, 2.241, 60
40.56, 2.224, 39
51.88, 1.762, 77

Structural model:
Unit cell a=7.749 b=8.069 c=5.433 alpha=90.00 beta=90.00 gamma=90.00
Fractional positions:
Sm: 0.000 0.000 0.000
Sm: 0.500 0.500 0.000
Tm: 0.000 0.500 0.500
Tm: 0.500 0.000 0.500
As: 0.000 0.356 0.000
As: 0.000 0.644 0.000
As: 0.149 0.000 0.500
As: 0.351 0.500 0.500
As: 0.500 0.144 0.000
As: 0.500 0.856 0.000
As: 0.649 0.500 0.500
As: 0.851 0.000 0.500

***

Entry 7:
The following is a calculated PXRD pattern of Sm2YAs3. It was derived from a structure optimized by DFT (GGA-PBE), using Cu Ka.

Most intense lines, 2θ from 10° to 90°, low angle first:
Position (°2θ), d [Å], I/Imax
26.10, 3.414, 14
30.23, 2.957, 100
43.28, 2.091, 74
51.24, 1.783, 6
53.69, 1.707, 26
62.86, 1.478, 12
71.33, 1.322, 33
79.39, 1.207, 25

Structural model:
Unit cell a=4.183 b=4.183 c=10.235 alpha=90.00 beta=90.00 gamma=120.00
Fractional positions:
Sm: 0.333 0.667 0.331
Sm: 0.667 0.333 0.669
Y: 0.000 0.000 0.000
As: 0.000 0.000 0.500
As: 0.333 0.667 0.838
As: 0.667 0.333 0.162

***

Entry 8:
The following is a calculated PXRD pattern of SrZn2As2. It was derived from a structure optimized by DFT (GGA-PBE), using Cu Ka.

Most intense lines, 2θ from 10° to 90°, low angle first:
Position (°2θ), d [Å], I/Imax
27.14, 3.285, 100
34.58, 2.594, 80
36.84, 2.440, 21
42.60, 2.122, 92
44.57, 2.033, 45
55.98, 1.643, 19
57.56, 1.601, 33
72.81, 1.299, 17

Structural model:
Unit cell a=4.245 b=4.245 c=7.320 alpha=90.00 beta=90.00 gamma=120.00
Fractional positions:
Sr: 0.000 0.000 0.000
Zn: 0.333 0.667 0.630
Zn: 0.667 0.333 0.370
As: 0.333 0.667 0.271
As: 0.667 0.333 0.729

***

Entry 9:
The following is a calculated PXRD pattern of SrZrAs3. It was derived from a structure optimized by DFT (GGA-PBE), using Cu Ka.

Most intense lines, 2θ from 10° to 90°, low angle first:
Position (°2θ), d [Å], I/Imax
11.07, 7.991, 48
33.02, 2.713, 100
33.65, 2.664, 45
41.00, 2.201, 78
43.81, 2.066, 26
47.60, 1.910, 20
56.35, 1.633, 20
59.55, 1.552, 17

Structural model:
Unit cell a=16.115 b=16.115 c=3.820 alpha=90.00 beta=90.00 gamma=165.27
Fractional positions:
Sr: 0.116 0.884 0.000
Sr: 0.884 0.116 0.000
Zr: 0.286 0.714 0.500
Zr: 0.714 0.286 0.500
As: 0.039 0.961 0.500
As: 0.212 0.788 0.000
As: 0.461 0.539 0.000
As: 0.539 0.461 0.000
As: 0.788 0.212 0.000
As: 0.961 0.039 0.500

***

Entry 10:
The following is a calculated PXRD pattern of Tb3Ta2As4. It was derived from a structure optimized by DFT (GGA-PBE), using Cu Ka.

Most intense lines, 2θ from 10° to 90°, low angle first:
Position (°2θ), d [Å], I/Imax
25.76, 3.459, 26
34.30, 2.614, 12
35.73, 2.513, 100
45.42, 1.997, 37
49.87, 1.828, 11
59.09, 1.563, 21
69.73, 1.349, 21
77.55, 1.231, 16

Structural model:
Unit cell a=7.987 b=7.987 c=3.657 alpha=90.00 beta=90.00 gamma=120.00
Fractional positions:
Tb: 0.016 0.497 0.000
Tb: 0.481 0.984 0.000
Tb: 0.503 0.519 0.000
Ta: 0.000 0.000 0.000
Ta: 0.667 0.333 0.500
As: 0.290 0.154 0.500
As: 0.333 0.667 0.500
As: 0.846 0.136 0.500
As: 0.864 0.710 0.500

***

Entry 11:
The following is a calculated PXRD pattern of TaZn2As. It was derived from a structure optimized by DFT (GGA-PBE), using Cu Ka.

Most intense lines, 2θ from 10° to 90°, low angle first:
Position (°2θ), d [Å], I/Imax
24.11, 3.692, 17
27.91, 3.197, 8
39.88, 2.261, 100
47.14, 1.928, 9
57.66, 1.599, 17
63.41, 1.467, 4
72.40, 1.305, 33
86.00, 1.130, 11

Structural model:
Unit cell a=6.394 b=6.394 c=6.394 alpha=90.00 beta=90.00 gamma=90.00
Fractional positions:
Ta: 0.000 0.000 0.000
Ta: 0.000 0.500 0.500
Ta: 0.500 0.000 0.500
Ta: 0.500 0.500 0.000
Zn: 0.000 0.000 0.500
Zn: 0.000 0.500 0.000
Zn: 0.250 0.250 0.250
Zn: 0.250 0.750 0.750
Zn: 0.500 0.000 0.000
Zn: 0.500 0.500 0.500
Zn: 0.750 0.250 0.750
Zn: 0.750 0.750 0.250
As: 0.250 0.250 0.750
As: 0.250 0.750 0.250
As: 0.750 0.250 0.250
As: 0.750 0.750 0.750

***

Entry 12:
The following is a calculated PXRD pattern of TbAs2. It was derived from a structure optimized by DFT (GGA-PBE), using Cu Ka.

Most intense lines, 2θ from 10° to 90°, low angle first:
Position (°2θ), d [Å], I/Imax
20.42, 4.350, 53
28.69, 3.112, 48
30.08, 2.971, 100
32.99, 2.715, 80
35.05, 2.560, 75
36.59, 2.456, 84
36.86, 2.439, 41
38.05, 2.365, 53

Structural model:
Unit cell a=7.408 b=5.621 c=7.550 alpha=90.00 beta=112.05 gamma=90.00
Fractional positions:
Tb: 0.194 0.196 0.048
Tb: 0.194 0.304 0.548
Tb: 0.806 0.696 0.452
Tb: 0.806 0.804 0.952
As: 0.143 0.644 0.834
As: 0.143 0.856 0.334
As: 0.395 0.561 0.327
As: 0.395 0.939 0.827
As: 0.605 0.061 0.173
As: 0.605 0.439 0.673
As: 0.857 0.144 0.666
As: 0.857 0.356 0.166